Entry 1:
Pt9Pb2: computed powder X-ray diffraction pattern (CuKα), based on a crystal structure in OQMD, relaxed with PBE.
No peak broadening, texture or thermal motion is included.

Principal peaks in the range 2θ from 10° to 90°, by intensity:
2theta	I (rel.)
37.3	100.0
45.4	56.9
38.3	53.9
62.7	34.9
43.7	34.8
41.2	28.0
77.8	27.0
66.9	16.6
75.3	13.4
35.8	12.4
80.7	10.9
69.5	9.2

Cell and atoms:
Lattice parameters (Å, degrees): 2.964 2.964 35.038 90.00 90.00 120.00
Atoms (fractional coordinates):
Pt  0.000  0.000  0.000
Pt  0.000  0.000  0.184
Pt  0.000  0.000  0.816
Pt  0.333  0.667  0.123
Pt  0.333  0.667  0.753
Pt  0.333  0.667  0.939
Pt  0.667  0.333  0.061
Pt  0.667  0.333  0.247
Pt  0.667  0.333  0.877
Pb  0.333  0.667  0.317
Pb  0.667  0.333  0.683

---

Entry 2:
SrSbPt2Pb: computed powder X-ray diffraction pattern (CuKα), based on a crystal structure in OQMD, relaxed with PBE.
No peak broadening, texture or thermal motion is included.

Principal peaks in the range 2θ from 10° to 90°, by intensity:
2theta	I (rel.)
31.0	100.0
31.8	79.2
42.3	64.6
38.5	64.5
16.3	61.6
37.5	56.1
43.5	44.9
54.8	37.7
31.2	24.6
20.7	20.5
20.5	18.5
31.5	18.3

Cell and atoms:
Lattice parameters (Å, degrees): 4.806 4.671 10.875 90.00 92.28 90.00
Atoms (fractional coordinates):
Sr  0.240  0.250  0.239
Sr  0.760  0.750  0.761
Sb  0.299  0.250  0.885
Sb  0.701  0.750  0.115
Pt  0.187  0.750  0.998
Pt  0.266  0.250  0.646
Pt  0.734  0.750  0.354
Pt  0.813  0.250  0.002
Pb  0.248  0.750  0.498
Pb  0.752  0.250  0.502

---

Entry 3:
Pt3Pb2Se2: computed powder X-ray diffraction pattern (CuKα), based on a crystal structure in OQMD, relaxed with PBE.
No peak broadening, texture or thermal motion is included.

Principal peaks in the range 2θ from 10° to 90°, by intensity:
2theta	I (rel.)
34.8	100.0
37.4	66.2
43.1	65.6
28.9	54.2
39.5	48.8
59.9	44.7
14.1	44.5
24.1	30.8
40.2	28.4
19.8	23.9
32.7	23.4
79.9	15.9

Cell and atoms:
Lattice parameters (Å, degrees): 7.747 7.747 5.652 90.00 90.00 107.87
Atoms (fractional coordinates):
Pt  0.161  0.839  0.750
Pt  0.273  0.273  0.000
Pt  0.273  0.273  0.500
Pt  0.727  0.727  0.000
Pt  0.727  0.727  0.500
Pt  0.839  0.161  0.250
Pb  0.107  0.893  0.250
Pb  0.383  0.617  0.750
Pb  0.617  0.383  0.250
Pb  0.893  0.107  0.750
Se  0.107  0.429  0.250
Se  0.429  0.107  0.750
Se  0.571  0.893  0.250
Se  0.893  0.571  0.750

---

Entry 4:
Zr2SnPt2Pb: computed powder X-ray diffraction pattern (CuKα), based on a crystal structure in OQMD, relaxed with PBE.
No peak broadening, texture or thermal motion is included.

Principal peaks in the range 2θ from 10° to 90°, by intensity:
2theta	I (rel.)
39.5	100.0
23.9	50.1
71.6	35.1
46.7	26.0
57.1	17.2
85.0	11.4
62.7	10.9
76.7	8.3
89.9	8.0
27.6	2.8
64.6	1.0
48.9	0.8

Cell and atoms:
Lattice parameters (Å, degrees): 11.183 4.563 11.189 90.00 109.49 90.00
Atoms (fractional coordinates):
Zr  0.000  0.000  0.000
Zr  0.123  0.500  0.375
Zr  0.247  0.000  0.748
Zr  0.375  0.500  0.128
Zr  0.500  0.000  0.500
Zr  0.625  0.500  0.873
Zr  0.749  0.000  0.252
Zr  0.873  0.500  0.624
Sn  0.250  0.000  0.251
Sn  0.624  0.500  0.375
Sn  0.749  0.000  0.749
Sn  0.998  0.000  0.499
Pt  0.129  0.500  0.130
Pt  0.244  0.000  0.495
Pt  0.374  0.500  0.875
Pt  0.500  0.000  0.256
Pt  0.628  0.500  0.624
Pt  0.750  0.000  0.995
Pt  0.873  0.500  0.379
Pt  0.995  0.000  0.746
Pb  0.123  0.500  0.875
Pb  0.374  0.500  0.624
Pb  0.500  0.000  0.002
Pb  0.874  0.500  0.126

---

Entry 5:
TcPtPb: computed powder X-ray diffraction pattern (CuKα), based on a crystal structure in OQMD, relaxed with PBE.
No peak broadening, texture or thermal motion is included.

Principal peaks in the range 2θ from 10° to 90°, by intensity:
2theta	I (rel.)
40.4	100.0
28.3	44.8
73.5	35.1
66.2	17.5
58.5	17.1
50.0	13.1
87.4	11.6
24.4	10.6
47.8	5.1
64.3	2.0
78.8	1.5

Cell and atoms:
Lattice parameters (Å, degrees): 6.314 6.314 6.314 90.00 90.00 90.00
Atoms (fractional coordinates):
Tc  0.000  0.000  0.000
Tc  0.000  0.500  0.500
Tc  0.500  0.000  0.500
Tc  0.500  0.500  0.000
Pt  0.250  0.250  0.250
Pt  0.250  0.750  0.750
Pt  0.750  0.250  0.750
Pt  0.750  0.750  0.250
Pb  0.250  0.250  0.750
Pb  0.250  0.750  0.250
Pb  0.750  0.250  0.250
Pb  0.750  0.750  0.750

---

Entry 6:
Tm5Pt2Pb2: computed powder X-ray diffraction pattern (CuKα), based on a crystal structure in OQMD, relaxed with PBE.
No peak broadening, texture or thermal motion is included.

Principal peaks in the range 2θ from 10° to 90°, by intensity:
2theta	I (rel.)
34.0	100.0
34.9	68.8
32.0	64.4
31.6	57.5
39.9	51.4
39.1	48.0
32.6	41.8
33.4	38.4
65.4	27.5
27.2	27.1
11.5	26.7
58.7	22.0

Cell and atoms:
Lattice parameters (Å, degrees): 8.739 8.739 7.280 90.00 90.00 57.20
Atoms (fractional coordinates):
Tm  0.000  0.000  0.000
Tm  0.059  0.704  0.653
Tm  0.204  0.559  0.153
Tm  0.296  0.941  0.653
Tm  0.441  0.796  0.153
Tm  0.500  0.500  0.500
Tm  0.559  0.204  0.847
Tm  0.704  0.059  0.347
Tm  0.796  0.441  0.847
Tm  0.941  0.296  0.347
Pt  0.128  0.872  0.361
Pt  0.372  0.628  0.861
Pt  0.628  0.372  0.139
Pt  0.872  0.128  0.639
Pb  0.214  0.214  0.000
Pb  0.286  0.286  0.500
Pb  0.714  0.714  0.500
Pb  0.786  0.786  0.000

---

Entry 7:
Pu5Pb3: computed powder X-ray diffraction pattern (CuKα), based on a crystal structure in OQMD, relaxed with PBE.
No peak broadening, texture or thermal motion is included.

Principal peaks in the range 2θ from 10° to 90°, by intensity:
2theta	I (rel.)
33.3	100.0
32.2	48.4
29.9	46.2
36.4	26.1
62.2	25.2
42.0	22.6
55.3	16.2
71.8	12.9
61.5	12.5
51.6	10.6
63.5	8.7
53.9	8.6

Cell and atoms:
Lattice parameters (Å, degrees): 9.283 9.283 9.283 95.94 95.94 142.46
Atoms (fractional coordinates):
Pu  0.081  0.772  0.853
Pu  0.228  0.081  0.309
Pu  0.250  0.750  0.500
Pu  0.272  0.581  0.853
Pu  0.419  0.272  0.691
Pu  0.581  0.728  0.309
Pu  0.728  0.419  0.147
Pu  0.750  0.250  0.500
Pu  0.772  0.919  0.691
Pu  0.919  0.228  0.147
Pb  0.164  0.336  0.500
Pb  0.250  0.250  0.000
Pb  0.336  0.836  0.172
Pb  0.664  0.164  0.828
Pb  0.750  0.750  0.000
Pb  0.836  0.664  0.500

---

Entry 8:
RbTaPbS5: computed powder X-ray diffraction pattern (CuKα), based on a crystal structure in OQMD, relaxed with PBE.
No peak broadening, texture or thermal motion is included.

Principal peaks in the range 2θ from 10° to 90°, by intensity:
2theta	I (rel.)
13.6	100.0
29.4	44.7
26.1	29.6
40.7	28.8
24.4	27.0
26.8	25.3
21.4	24.9
26.3	24.9
13.0	24.2
39.2	22.7
21.0	22.6
15.8	19.4

Cell and atoms:
Lattice parameters (Å, degrees): 7.138 7.630 9.660 71.72 79.17 74.52
Atoms (fractional coordinates):
Rb  0.098  0.378  0.270
Rb  0.902  0.622  0.730
Ta  0.260  0.970  0.995
Ta  0.740  0.030  0.005
Pb  0.479  0.719  0.365
Pb  0.521  0.281  0.635
S  0.066  0.776  0.977
S  0.169  0.924  0.264
S  0.253  0.103  0.726
S  0.431  0.624  0.651
S  0.433  0.234  0.987
S  0.567  0.766  0.013
S  0.569  0.376  0.349
S  0.747  0.897  0.274
S  0.831  0.076  0.736
S  0.934  0.224  0.023